Simulated powder X-ray diffraction pattern
Compound: HgBHIrAu
Radiation: Cu Kα (λ = 1.5418 Å)
Structure: a crystal structure in Alexandria, relaxed with PBE
Kinematic intensities with the Lorentz-polarization factor, no thermal factor.

Largest 10 diffraction maxima, in order of falling intensity, 15 to 90 degrees two-theta:
index  Position (°2θ)  I_rel
2 0 -1  30.87  100
6 0 0  28.16  99
1 1 0  32.84  78
5 1 0  40.42  67
3 1 1  49.17  61
5 1 -1  49.37  57
0 2 0  68.08  39
4 0 1  38.65  37
6 0 -1  38.95  37
3 1 0  35.52  33

Crystal structure
abc: 19.2150 2.7558 2.9306
angles: 90.00 98.33 90.00
Space group Cm (No. 8)
Asymmetric unit:
Hg (0.0000, 0.0000, 0.0000)
B (0.2448, 0.0000, 0.2336)
H (0.3534, 0.0000, 0.8370)
Ir (0.2916, 0.5000, 0.7781)
Au (0.1464, 0.5000, 0.1404)